Diffraction record for PaSi3. The X-ray diffraction stick pattern is theoretical, not measured: it uses a structure optimized by DFT (GGA-PBE) and CuKα.

Most intense lines, 2θ = 5–70°, by angle:
2θ/deg, I/Imax, (hkl)
21.6, 1000, 1 0 0
30.7, 859, 1 1 0
37.9, 829, 1 1 1
44.0, 407, 2 0 0
49.6, 480, 2 1 0
54.7, 361, 2 1 1

Structural model:
```
PaSi3
1.0
4.1123 0.0000 0.0000
0.0000 4.1123 0.0000
0.0000 0.0000 4.1123
Pa Si
1 3
Cartesian
0.0000 0.0000 0.0000
0.0000 2.0562 2.0562
2.0562 0.0000 2.0562
2.0562 2.0562 0.0000
```